[1]
Structure and calculated powder X-ray diffraction pattern of Ba4Cu3BrO6 (a PBE-relaxed structure; λ = 1.5418 Å (Cu Kα)).
Lines closer than 0.1° are merged.

```
data_Ba4Cu3BrO6
_chemical_formula_sum 'Ba8 Cu6 Br2 O12'
_cell_length_a 7.998
_cell_length_b 7.998
_cell_length_c 7.998
_cell_angle_alpha 90.00
_cell_angle_beta 90.00
_cell_angle_gamma 90.00
_symmetry_space_group_name_H-M 'I m -3 m'
_symmetry_Int_Tables_number 229
_symmetry_space_group_name_Hall '-I 4 2 3'
loop_
_atom_site_label
_atom_site_type_symbol
_atom_site_fract_x
_atom_site_fract_y
_atom_site_fract_z
Ba1 Ba 0.250 0.250 0.250
Cu1 Cu 0.000 0.000 0.500
Br1 Br 0.000 0.000 0.000
O1 O 0.000 0.250 0.500
```

Principal peaks in the range 2θ = 5–70°, by angle:
index	d/Å	2theta	intensity
2 0 0	3.999	22.2	8
2 1 1	3.265	27.3	1
2 2 0	2.828	31.6	100
2 2 2	2.309	39.0	7
4 0 0	2.000	45.4	24
4 2 0	1.788	51.1	4
4 2 2	1.633	56.4	38
4 4 0	1.414	66.1	15

[2]
Structure and calculated powder X-ray diffraction pattern of Cs2AgF4 (a PBE-relaxed structure; λ = 1.5418 Å (Cu Kα)).
Lines closer than 0.1° are merged.

```
data_Cs2AgF4
_chemical_formula_sum 'Cs8 Ag4 F16'
_cell_length_a 14.511
_cell_length_b 6.577
_cell_length_c 6.581
_cell_angle_alpha 90.00
_cell_angle_beta 90.00
_cell_angle_gamma 90.00
_symmetry_space_group_name_H-M 'C m c e'
_symmetry_Int_Tables_number 64
_symmetry_space_group_name_Hall '-C 2ac 2'
loop_
_atom_site_label
_atom_site_type_symbol
_atom_site_fract_x
_atom_site_fract_y
_atom_site_fract_z
Cs1 Cs 0.143 0.000 0.000
Ag1 Ag 0.000 0.000 0.500
F1 F 0.000 0.237 0.273
F2 F 0.150 0.000 0.500
```

Principal peaks in the range 2θ = 5–70°, by angle:
index	d/Å	2theta	intensity
3 1 1	3.353	26.6	100
0 0 2	3.289	27.1	70
5 1 1	2.462	36.5	13
4 2 0	2.437	36.9	16
0 2 2	2.326	38.7	38
6 0 2	1.948	46.6	16
3 3 1	1.911	47.6	40
6 2 2	1.676	54.8	15

[3]
Structure and calculated powder X-ray diffraction pattern of ZnIn2S4 (a PBE-relaxed structure; λ = 1.5418 Å (Cu Kα)).
Lines closer than 0.1° are merged.

```
data_ZnIn2S4
_chemical_formula_sum 'Zn2 In4 S8'
_cell_length_a 3.9236
_cell_length_b 3.9236
_cell_length_c 26.6088
_cell_angle_alpha 90.00
_cell_angle_beta 90.00
_cell_angle_gamma 120.00
_symmetry_space_group_name_H-M 'P -3 m 1'
_symmetry_Int_Tables_number 164
_symmetry_space_group_name_Hall '-P 3 2"'
loop_
_atom_site_label
_atom_site_type_symbol
_atom_site_fract_x
_atom_site_fract_y
_atom_site_fract_z
Zn1 Zn 0.3333 0.6667 0.0784
In1 In 0.0000 0.0000 0.2424
In2 In 0.3333 0.6667 0.6061
S1 S 0.3333 0.6667 0.1969
S2 S 0.3333 0.6667 0.4367
S3 S 0.3333 0.6667 0.6967
S4 S 0.3333 0.6667 0.9282
```

Principal peaks in the range 2θ = 5–70°, by angle:
index	d/Å	2theta	intensity
0 0 2	13.304	6.6	32
0 0 6	4.435	20.0	69
1 0 2	3.292	27.1	100
1 0 4	3.026	29.5	61
1 0 8	2.377	37.9	44
1 0 10	2.095	43.2	23
1 1 0	1.962	46.3	51
1 1 6	1.794	50.9	33